(1)
Simulated X-ray powder pattern
Compound: Ca2InSbO6
Radiation: Cu Kα (λ = 1.5418 Å)
Structure: a cell relaxed with PBE

Structural model:
Cell: 5.7643 5.7643 5.7643 Å, 60.00 60.00 60.00°
Fractional positions:
Ca1 0.2500 0.2500 0.2500
Ca2 0.7500 0.7500 0.7500
In1 0.0000 0.0000 0.0000
Sb1 0.5000 0.5000 0.5000
O1 0.2584 0.2584 0.7416
O2 0.2584 0.7416 0.2584
O3 0.2584 0.7416 0.7416
O4 0.7416 0.2584 0.2584
O5 0.7416 0.2584 0.7416
O6 0.7416 0.7416 0.2584

Peak list (12 most intense, 2θ = 10–90°, most intense first)
31.03°, intensity 100; 21.80°, intensity 51; 55.20°, intensity 38; 44.45°, intensity 37; 64.68°, intensity 21; 50.04°, intensity 21; 73.47°, intensity 16; 69.14°, intensity 10; 81.87°, intensity 7; 85.99°, intensity 4; 38.25°, intensity 1; 77.70°, intensity 1

---

(2)
Simulated X-ray powder pattern
Compound: Ca2InPd2
Radiation: Cu Kα (λ = 1.5418 Å)
Structure: a cell relaxed with PBE

Structural model:
Cell: 5.8847 5.8847 8.2366 Å, 102.82 102.82 58.74°
Fractional positions:
Ca1 0.0045 0.2942 0.1496
Ca2 0.2942 0.0045 0.6496
Ca3 0.7058 0.9955 0.3504
Ca4 0.9955 0.7058 0.8504
In1 0.3477 0.6523 0.2500
In2 0.6523 0.3477 0.7500
Pd1 0.2283 0.5039 0.4972
Pd2 0.4961 0.7717 0.0028
Pd3 0.5039 0.2283 0.9972
Pd4 0.7717 0.4961 0.5028

Peak list (12 most intense, 2θ = 10–90°, most intense first)
17.78°, intensity 100; 39.20°, intensity 97; 36.23°, intensity 89; 22.20°, intensity 85; 37.53°, intensity 57; 35.53°, intensity 54; 34.25°, intensity 51; 63.29°, intensity 44; 33.01°, intensity 42; 46.96°, intensity 41; 32.21°, intensity 33; 46.66°, intensity 32

---

(3)
Simulated X-ray powder pattern
Compound: CaIn2Pt
Radiation: Cu Kα (λ = 1.5418 Å)
Structure: a cell relaxed with PBE

Structural model:
Cell: 4.4518 10.5323 7.9582 Å, 90.00 90.00 90.00°
Fractional positions:
Ca1 0.0000 0.0672 0.2500
Ca2 0.0000 0.9328 0.7500
Ca3 0.5000 0.4328 0.7500
Ca4 0.5000 0.5672 0.2500
In1 0.0000 0.3560 0.0515
In2 0.0000 0.3560 0.4485
In3 0.0000 0.6440 0.5515
In4 0.0000 0.6440 0.9485
In5 0.5000 0.1440 0.5515
In6 0.5000 0.1440 0.9485
In7 0.5000 0.8560 0.0515
In8 0.5000 0.8560 0.4485
Pt1 0.0000 0.2173 0.7500
Pt2 0.0000 0.7827 0.2500
Pt3 0.5000 0.2827 0.2500
Pt4 0.5000 0.7173 0.7500

Peak list (12 most intense, 2θ = 10–90°, most intense first)
40.51°, intensity 100; 16.84°, intensity 57; 34.43°, intensity 51; 39.78°, intensity 48; 31.32°, intensity 48; 24.42°, intensity 29; 41.11°, intensity 26; 20.22°, intensity 25; 35.92°, intensity 21; 59.10°, intensity 17; 68.01°, intensity 16; 65.48°, intensity 16

---

(4)
Simulated X-ray powder pattern
Compound: CaInPt
Radiation: Cu Kα (λ = 1.5418 Å)
Structure: a cell relaxed with PBE

Structural model:
Cell: 7.3281 4.4114 8.5292 Å, 90.00 90.00 90.00°
Fractional positions:
Ca1 0.0297 0.2500 0.1777
Ca2 0.4703 0.7500 0.6777
Ca3 0.5297 0.2500 0.3223
Ca4 0.9703 0.7500 0.8223
In1 0.1495 0.2500 0.5654
In2 0.3505 0.7500 0.0654
In3 0.6495 0.2500 0.9346
In4 0.8505 0.7500 0.4346
Pt1 0.2324 0.7500 0.3762
Pt2 0.2676 0.2500 0.8762
Pt3 0.7324 0.7500 0.1238
Pt4 0.7676 0.2500 0.6238

Peak list (12 most intense, 2θ = 10–90°, most intense first)
33.48°, intensity 100; 22.69°, intensity 82; 37.64°, intensity 74; 24.29°, intensity 57; 39.67°, intensity 56; 40.92°, intensity 54; 24.15°, intensity 45; 42.66°, intensity 40; 31.63°, intensity 39; 38.32°, intensity 37; 43.67°, intensity 35; 48.12°, intensity 34